# MgScZn2F
Computed XRD peak list, λ = 1.5418 Å (Cu Kα). Input: a DFT-relaxed cell (PBE, Alexandria).
No peak broadening, texture or thermal motion is included.

Top 6 peaks for 2θ = 10–80°, by intensity:
Position (°2θ)  I (rel.)  hkl
32.5  100  2 0 0
22.7  26  0 0 1
40.0  24  2 0 1
57.8  20  2 0 2
46.6  20  2 2 0
57.9  15  3 1 1

Structural model:
```
data_MgScZn2F
_space_group_name_H-M_alt 'P 4/m m m'
_space_group_IT_number 123
_space_group_name_Hall '-P 4 2'
_cell_length_a 5.509
_cell_length_b 5.509
_cell_length_c 3.917
_cell_angle_alpha 90.00
_cell_angle_beta 90.00
_cell_angle_gamma 90.00
loop_
_atom_site_label
_atom_site_type_symbol
_atom_site_fract_x
_atom_site_fract_y
_atom_site_fract_z
Mg1 Mg 0.000 0.000 0.000
Sc1 Sc 0.500 0.500 0.500
Zn1 Zn 0.000 0.500 0.500
F1 F 0.500 0.500 0.000
```



# OsN
Computed XRD peak list, λ = 1.5418 Å (Cu Kα). Input: a DFT-relaxed cell (PBE, Alexandria).
No peak broadening, texture or thermal motion is included.

Top 6 peaks for 2θ = 10–80°, by intensity:
Position (°2θ)  I (rel.)  hkl
36.8  100  1 0 0
44.4  90  1 0 1
24.1  72  0 0 1
63.1  41  1 0 2
71.6  23  1 1 1
66.2  18  1 1 0

Structural model:
```
data_OsN
_space_group_name_H-M_alt 'P 6 m m'
_space_group_IT_number 183
_space_group_name_Hall 'P 6 -2'
_cell_length_a 2.8220
_cell_length_b 2.8220
_cell_length_c 3.6953
_cell_angle_alpha 90.00
_cell_angle_beta 90.00
_cell_angle_gamma 120.00
loop_
_atom_site_label
_atom_site_type_symbol
_atom_site_fract_x
_atom_site_fract_y
_atom_site_fract_z
Os1 Os 0.0000 0.0000 0.0000
N1 N 0.0000 0.0000 0.5081
```



# Li2ScPd8
Computed XRD peak list, λ = 1.5418 Å (Cu Kα). Input: a DFT-relaxed cell (PBE, Alexandria).
No peak broadening, texture or thermal motion is included.

Top 6 peaks for 2θ = 10–80°, by intensity:
Position (°2θ)  I (rel.)  hkl
40.8  100  0 4 1
41.4  51  3 1 -1
43.0  46  3 3 0
43.7  43  0 0 2
31.3  42  2 0 1
35.8  36  2 2 -1

Structural model:
```
data_Li2ScPd8
_space_group_name_H-M_alt 'C 1 2/m 1'
_space_group_IT_number 12
_cell_length_a 7.905
_cell_length_b 10.465
_cell_length_c 4.147
_cell_angle_alpha 90.00
_cell_angle_beta 90.10
_cell_angle_gamma 90.00
loop_
_space_group_symop_operation_xyz
'x,y,z'
'-x,-y,-z'
'-x,y,-z'
'x,-y,z'
'x+1/2,y+1/2,z'
'-x+1/2,-y+1/2,-z'
'-x+1/2,y+1/2,-z'
'x+1/2,-y+1/2,z'
loop_
_atom_site_label
_atom_site_type_symbol
_atom_site_fract_x
_atom_site_fract_y
_atom_site_fract_z
Li1 Li 0.000 0.119 0.000
Sc1 Sc 0.000 0.500 0.500
Pd1 Pd 0.000 0.239 0.500
Pd2 Pd 0.169 0.000 0.499
Pd3 Pd 0.178 0.365 0.001
```



# Ba2Zn3In5
Computed XRD peak list, λ = 1.5418 Å (Cu Kα). Input: a DFT-relaxed cell (PBE, Alexandria).
No peak broadening, texture or thermal motion is included.

Top 6 peaks for 2θ = 10–80°, by intensity:
Position (°2θ)  I (rel.)  hkl
30.3  100  1 1 2
37.5  56  2 0 0
29.2  35  1 0 3
63.3  23  3 1 2
42.4  20  1 0 5
54.1  19  2 2 0

Structural model:
```
data_Ba2Zn3In5
_space_group_name_H-M_alt 'P -4 m 2'
_space_group_IT_number 115
_cell_length_a 4.798
_cell_length_b 4.798
_cell_length_c 11.895
_cell_angle_alpha 90.00
_cell_angle_beta 90.00
_cell_angle_gamma 90.00
loop_
_space_group_symop_operation_xyz
'x,y,z'
'y,-x,-z'
'-x,-y,z'
'-y,x,-z'
'-x,y,z'
'-y,-x,-z'
'x,-y,z'
'y,x,-z'
loop_
_atom_site_label
_atom_site_type_symbol
_atom_site_fract_x
_atom_site_fract_y
_atom_site_fract_z
Ba1 Ba 0.000 0.500 0.237
Zn1 Zn 0.000 0.000 0.000
Zn2 Zn 0.000 0.500 0.885
In1 In 0.000 0.000 0.500
In2 In 0.000 0.500 0.656
In3 In 0.500 0.500 0.000
In4 In 0.500 0.500 0.500
```



# Pm4Pr4Sm3
Computed XRD peak list, λ = 1.5418 Å (Cu Kα). Input: a DFT-relaxed cell (PBE, Alexandria).
No peak broadening, texture or thermal motion is included.

Top 6 peaks for 2θ = 10–80°, by intensity:
Position (°2θ)  I (rel.)  hkl
31.4  100  2 1 3
30.7  39  0 2 0
29.9  34  3 1 1
54.9  28  2 3 3
30.3  17  1 0 4
60.9  15  3 1 7

Structural model:
```
data_Pm4Pr4Sm3
_space_group_name_H-M_alt 'A m m 2'
_space_group_IT_number 38
_cell_length_a 10.914
_cell_length_b 5.833
_cell_length_c 12.243
_cell_angle_alpha 90.00
_cell_angle_beta 90.00
_cell_angle_gamma 90.00
loop_
_space_group_symop_operation_xyz
'x,y,z'
'-x,-y,z'
'-x,y,z'
'x,-y,z'
'x,y+1/2,z+1/2'
'-x,-y+1/2,z+1/2'
'-x,y+1/2,z+1/2'
'x,-y+1/2,z+1/2'
loop_
_atom_site_label
_atom_site_type_symbol
_atom_site_fract_x
_atom_site_fract_y
_atom_site_fract_z
Pm1 Pm 0.000 0.000 0.000
Pm2 Pm 0.199 0.000 0.491
Pm3 Pm 0.500 0.000 0.936
Pr1 Pr 0.000 0.000 0.274
Pr2 Pr 0.292 0.000 0.140
Pr3 Pr 0.500 0.000 0.344
Sm1 Sm 0.206 0.000 0.794
Sm2 Sm 0.500 0.000 0.639
```



# TeAs4
Computed XRD peak list, λ = 1.5418 Å (Cu Kα). Input: a DFT-relaxed cell (PBE, Alexandria).
No peak broadening, texture or thermal motion is included.

Top 6 peaks for 2θ = 10–80°, by intensity:
Position (°2θ)  I (rel.)  hkl
35.5  100  2 0 0
35.0  80  1 0 3
32.1  78  1 1 2
50.7  55  2 1 3
51.1  35  2 2 0
68.2  24  1 1 6

Structural model:
```
data_TeAs4
_space_group_name_H-M_alt 'I 4/m m m'
_space_group_IT_number 139
_space_group_name_Hall '-I 4 2'
_cell_length_a 5.057
_cell_length_b 5.057
_cell_length_c 8.933
_cell_angle_alpha 90.00
_cell_angle_beta 90.00
_cell_angle_gamma 90.00
loop_
_atom_site_label
_atom_site_type_symbol
_atom_site_fract_x
_atom_site_fract_y
_atom_site_fract_z
Te1 Te 0.000 0.000 0.000
As1 As 0.000 0.000 0.353
As2 As 0.000 0.500 0.250
```



# Sc8Pt
Computed XRD peak list, λ = 1.5418 Å (Cu Kα). Input: a DFT-relaxed cell (PBE, Alexandria).
No peak broadening, texture or thermal motion is included.

Top 6 peaks for 2θ = 10–80°, by intensity:
Position (°2θ)  I (rel.)  hkl
35.6  100  3 0 1
11.6  58  1 1 0
35.4  49  3 3 0
16.5  38  2 0 0
63.7  30  6 3 1
39.5  18  3 2 1

Structural model:
```
data_Sc8Pt
_space_group_name_H-M_alt 'I 4/m m m'
_space_group_IT_number 139
_space_group_name_Hall '-I 4 2'
_cell_length_a 10.749
_cell_length_b 10.749
_cell_length_c 3.545
_cell_angle_alpha 90.00
_cell_angle_beta 90.00
_cell_angle_gamma 90.00
loop_
_atom_site_label
_atom_site_type_symbol
_atom_site_fract_x
_atom_site_fract_y
_atom_site_fract_z
Sc1 Sc 0.000 0.337 0.000
Sc2 Sc 0.150 0.150 0.500
Pt1 Pt 0.000 0.000 0.000
```



Question: What is the formula in the third record?
Answer: Li2ScPd8